Starting from the PBE geometry in Alexandria, the powder XRD pattern of Cs2Sn2Br7 was computed for λ = 1.5418 Å (Cu Kα).

Atomic structure:
a b c (Å): 11.353 15.586 5.623
angles (deg): 90.00 93.19 90.00
Space group Cm (No. 8)
One atom of each set of equivalent atoms:
Cs (0.000, 0.197, 0.000) x4
Sn (0.207, 0.500, 0.397) x2
Sn (0.224, 0.000, 0.523) x2
Br (0.202, 0.000, 0.026) x2
Br (0.202, 0.378, 0.062) x4
Br (0.216, 0.179, 0.532) x4
Br (0.462, 0.500, 0.504) x2
Br (0.464, 0.000, 0.542) x2

Most intense lines, 10 to 90 degrees two-theta, in order of rising 2θ:
(hkl), d (Å), I_rel
2 0 0, 5.668, 43
0 2 1, 4.555, 100
1 3 1, 3.574, 42
2 2 1, 3.475, 47
1 5 0, 3.004, 61
4 0 0, 2.833, 94
0 0 2, 2.807, 79
3 3 -1, 2.736, 46
3 3 1, 2.634, 59
1 5 -2, 2.067, 41